V2Ru2Rh7: theoretical powder X-ray diffraction pattern (Cu Kα (λ = 1.5418 Å)), based on a DFT-relaxed cell (PBE, Alexandria).
Intensities are scaled so that the largest is 100.

Structure:
```
data_V2Ru2Rh7
_chemical_formula_sum 'V4 Ru4 Rh14'
_symmetry_space_group_name_H-M 'C 1 2/m 1'
_symmetry_Int_Tables_number 12
_cell_length_a 8.811
_cell_length_b 8.719
_cell_length_c 4.686
_cell_angle_alpha 90.00
_cell_angle_beta 117.28
_cell_angle_gamma 90.00
loop_
_symmetry_equiv_pos_as_xyz
'x,y,z'
'-x,-y,-z'
'-x,y,-z'
'x,-y,z'
'x+1/2,y+1/2,z'
'-x+1/2,-y+1/2,-z'
'-x+1/2,y+1/2,-z'
'x+1/2,-y+1/2,z'
loop_
_atom_site_label
_atom_site_type_symbol
_atom_site_fract_x
_atom_site_fract_y
_atom_site_fract_z
V1 V 0.242 0.000 0.434
Ru1 Ru 0.000 0.322 0.500
Rh1 Rh 0.000 0.500 0.000
Rh2 Rh 0.113 0.000 0.811
Rh3 Rh 0.172 0.250 0.176
```

Principal peaks in the range 10° ≤ 2θ ≤ 90°, in order of rising 2θ:
| 2θ/deg | I_rel |
| --- | --- |
| 40.7 | 31 |
| 41.0 | 38 |
| 41.4 | 41 |
| 43.6 | 100 |
| 44.0 | 51 |
| 44.2 | 31 |